(1)
Starting from DFT lattice parameters and positions (PBE), the X-ray powder pattern of GeHPd2 was computed for λ = 1.5418 Å (Cu Kα).

Main lines, by angle (2θ = 15–90°):
31.7°, I = 63
32.8°, I = 39
35.8°, I = 54
38.1°, I = 60
38.4°, I = 47
38.7°, I = 61
39.0°, I = 71
39.9°, I = 100
41.5°, I = 66
53.0°, I = 35

a b c (Å): 3.1498 5.0355 6.9195
angles (deg): 70.58 88.06 84.26
Element x y z (fractional)
Ge 0.2323 0.3621 0.2942
Ge 0.7677 0.6379 0.7058
H 0.0810 0.1325 0.8221
H 0.9190 0.8675 0.1779
Pd 0.2240 0.7644 0.9577
Pd 0.2887 0.8152 0.3959
Pd 0.7113 0.1848 0.6041
Pd 0.7760 0.2356 0.0423

(2)
Starting from DFT lattice parameters and positions (PBE), the X-ray powder pattern of NaZn4Cu was computed for λ = 1.5418 Å (Cu Kα).

Main lines, by angle (2θ = 15–90°):
17.4°, I = 32
34.8°, I = 73
37.3°, I = 35
40.8°, I = 14
42.3°, I = 100
42.4°, I = 13
43.2°, I = 41
45.2°, I = 22
46.6°, I = 36
46.9°, I = 14

a b c (Å): 8.0172 3.9003 6.6297
angles (deg): 90.00 90.00 90.00
Element x y z (fractional)
Na 0.2500 0.0000 0.1150
Na 0.7500 0.0000 0.8850
Zn 0.0000 0.0000 0.5000
Zn 0.0504 0.5000 0.8048
Zn 0.2500 0.5000 0.4511
Zn 0.4496 0.5000 0.8048
Zn 0.5000 0.0000 0.5000
Zn 0.5504 0.5000 0.1952
Zn 0.7500 0.5000 0.5489
Zn 0.9496 0.5000 0.1952
Cu 0.2500 0.0000 0.7005
Cu 0.7500 0.0000 0.2995

(3)
Starting from DFT lattice parameters and positions (PBE), the X-ray powder pattern of Ac2PaB12Os3 was computed for λ = 1.5418 Å (Cu Kα).

Main lines, by angle (2θ = 15–90°):
26.7°, I = 35
26.9°, I = 100
29.9°, I = 99
31.2°, I = 49
32.2°, I = 71
47.2°, I = 44
47.8°, I = 48
49.1°, I = 26
55.0°, I = 34
55.4°, I = 26

a b c (Å): 7.7690 7.7690 7.7690
angles (deg): 50.93 50.93 50.93
Element x y z (fractional)
Ac 0.1145 0.1145 0.1145
Ac 0.8855 0.8855 0.8855
Pa 0.5000 0.5000 0.5000
B 0.0701 0.6234 0.6234
B 0.1658 0.1658 0.4615
B 0.1658 0.4615 0.1658
B 0.3766 0.3766 0.9299
B 0.3766 0.9299 0.3766
B 0.4615 0.1658 0.1658
B 0.5385 0.8342 0.8342
B 0.6234 0.0701 0.6234
B 0.6234 0.6234 0.0701
B 0.8342 0.5385 0.8342
B 0.8342 0.8342 0.5385
B 0.9299 0.3766 0.3766
Os 0.0000 0.5000 0.5000
Os 0.5000 0.0000 0.5000
Os 0.5000 0.5000 0.0000